Starting from the PBE geometry in the Materials Project, the powder diffraction line list of Mg5Si6 was calculated for Cu Kα.

Structural model:
```
data_Mg5Si6
_chemical_formula_sum 'Mg10 Si12'
_symmetry_space_group_name_H-M 'P 1'
_symmetry_Int_Tables_number 1
_cell_length_a 5.1075
_cell_length_b 6.7618
_cell_length_c 12.2615
_cell_angle_alpha 83.64
_cell_angle_beta 87.46
_cell_angle_gamma 88.35
loop_
_symmetry_equiv_pos_as_xyz
'x,y,z'
loop_
_atom_site_label
_atom_site_fract_x
_atom_site_fract_y
_atom_site_fract_z
Mg1 0.0000 0.0000 0.0000
Mg2 0.0014 0.0927 0.7470
Mg3 0.0634 0.6451 0.8554
Mg4 0.3794 0.4030 0.3037
Mg5 0.4008 0.7895 0.4122
Mg6 0.4568 0.8091 0.6668
Mg7 0.5047 0.2879 0.9230
Mg8 0.5303 0.9101 0.1663
Mg9 0.6326 0.2263 0.5404
Mg10 0.9190 0.1144 0.3177
Si1 0.0493 0.7622 0.2378
Si2 0.1328 0.0565 0.5266
Si3 0.1421 0.4368 0.5283
Si4 0.1610 0.6038 0.0736
Si5 0.2016 0.2556 0.1280
Si6 0.3599 0.4046 0.7169
Si7 0.5785 0.9094 0.8679
Si8 0.6435 0.6439 0.0192
Si9 0.7159 0.3152 0.1205
Si10 0.8314 0.4926 0.6847
Si11 0.8367 0.5314 0.3708
Si12 0.8762 0.7542 0.5229
```

Largest 12 diffraction maxima, by angle, 5 to 70 degrees two-theta:
| index | d (Å) | Rel. int. |
| --- | --- | --- |
| 1 2 0 | 2.837 | 57 |
| 1 1 -3 | 2.753 | 49 |
| 1 0 4 | 2.664 | 44 |
| -1 2 2 | 2.592 | 53 |
| 1 1 4 | 2.571 | 41 |
| 1 2 3 | 2.463 | 100 |
| 2 1 1 | 2.391 | 87 |
| 0 1 5 | 2.374 | 65 |
| 2 -1 0 | 2.366 | 37 |
| 2 0 -2 | 2.320 | 53 |
| 0 3 1 | 2.247 | 43 |
| 2 0 3 | 2.201 | 47 |


Starting from the PBE geometry in the Materials Project, the powder diffraction line list of Mg2Si3 was calculated for Cu Kα.

Structural model:
```
data_Mg2Si3
_chemical_formula_sum 'Mg8 Si12'
_symmetry_space_group_name_H-M 'P 1'
_symmetry_Int_Tables_number 1
_cell_length_a 3.7347
_cell_length_b 5.8243
_cell_length_c 18.2666
_cell_angle_alpha 89.55
_cell_angle_beta 87.43
_cell_angle_gamma 89.32
loop_
_symmetry_equiv_pos_as_xyz
'x,y,z'
loop_
_atom_site_label
_atom_site_fract_x
_atom_site_fract_y
_atom_site_fract_z
Mg1 0.0000 0.0000 0.0000
Mg2 0.0072 0.7539 0.1520
Mg3 0.0274 0.4669 0.9447
Mg4 0.1332 0.3423 0.6532
Mg5 0.6107 0.5727 0.7847
Mg6 0.6334 0.1385 0.5116
Mg7 0.6444 0.6730 0.4176
Mg8 0.6657 0.0064 0.2854
Si1 0.1174 0.8758 0.7247
Si2 0.1377 0.8447 0.5944
Si3 0.1532 0.0362 0.3983
Si4 0.1871 0.4047 0.3396
Si5 0.4033 0.2925 0.0774
Si6 0.5020 0.6859 0.0430
Si7 0.5231 0.7795 0.9136
Si8 0.5457 0.1710 0.8889
Si9 0.6084 0.1084 0.7579
Si10 0.6480 0.6064 0.5630
Si11 0.7034 0.4982 0.2622
Si12 0.8805 0.2358 0.1579
```

Largest 12 diffraction maxima, by angle, 5 to 70 degrees two-theta:
| index | d (Å) | Rel. int. |
| --- | --- | --- |
| 0 1 -1 | 5.547 | 33 |
| 1 0 -3 | 3.119 | 46 |
| 1 0 4 | 2.953 | 83 |
| 0 2 -2 | 2.768 | 47 |
| -1 1 3 | 2.743 | 42 |
| 0 2 -3 | 2.619 | 36 |
| 1 -1 5 | 2.413 | 33 |
| 1 1 -5 | 2.339 | 41 |
| 1 2 0 | 2.308 | 100 |
| 1 -2 0 | 2.282 | 66 |
| 1 -2 1 | 2.271 | 41 |
| 2 0 1 | 1.865 | 76 |


Starting from the PBE geometry in the Materials Project, the powder diffraction line list of Mg4Si7 was calculated for Cu Kα.

Structural model:
```
data_Mg4Si7
_chemical_formula_sum 'Mg8 Si14'
_symmetry_space_group_name_H-M 'P 1'
_symmetry_Int_Tables_number 1
_cell_length_a 4.0262
_cell_length_b 6.9023
_cell_length_c 15.2059
_cell_angle_alpha 84.59
_cell_angle_beta 83.86
_cell_angle_gamma 88.98
loop_
_symmetry_equiv_pos_as_xyz
'x,y,z'
loop_
_atom_site_label
_atom_site_fract_x
_atom_site_fract_y
_atom_site_fract_z
Mg1 0.0000 0.0000 0.0000
Mg2 0.0337 0.5262 0.9253
Mg3 0.0901 0.1792 0.7780
Mg4 0.1295 0.7189 0.7041
Mg5 0.3785 0.3883 0.2597
Mg6 0.4355 0.9807 0.1767
Mg7 0.5591 0.8493 0.8606
Mg8 0.7279 0.3087 0.4418
Si1 0.1618 0.4307 0.5669
Si2 0.2113 0.7682 0.5096
Si3 0.3860 0.6619 0.3671
Si4 0.4820 0.3401 0.0468
Si5 0.4843 0.7026 0.0454
Si6 0.5320 0.2221 0.9059
Si7 0.5901 0.4946 0.7957
Si8 0.6327 0.3588 0.6523
Si9 0.6356 0.0078 0.6854
Si10 0.6961 0.9506 0.5313
Si11 0.8815 0.1287 0.2845
Si12 0.9087 0.7807 0.2903
Si13 0.9448 0.6549 0.1446
Si14 0.9468 0.2888 0.1364
```

Largest 12 diffraction maxima, by angle, 5 to 70 degrees two-theta:
| index | d (Å) | Rel. int. |
| --- | --- | --- |
| 0 0 1 | 15.053 | 34 |
| 0 1 4 | 3.439 | 32 |
| 1 1 -3 | 2.685 | 70 |
| 1 -1 4 | 2.601 | 67 |
| -1 2 2 | 2.455 | 60 |
| 1 1 5 | 2.449 | 41 |
| 0 1 6 | 2.431 | 33 |
| 0 2 5 | 2.375 | 41 |
| 1 0 6 | 2.234 | 42 |
| 0 3 -2 | 2.137 | 39 |
| 2 0 1 | 2.012 | 100 |
| 0 0 8 | 1.881 | 32 |


Starting from the PBE geometry in the Materials Project, the powder diffraction line list of Mg3Si4 was calculated for Cu Kα.

Structural model:
```
data_Mg3Si4
_chemical_formula_sum 'Mg6 Si8'
_symmetry_space_group_name_H-M 'P 1'
_symmetry_Int_Tables_number 1
_cell_length_a 3.9496
_cell_length_b 8.3671
_cell_length_c 9.1496
_cell_angle_alpha 113.70
_cell_angle_beta 101.18
_cell_angle_gamma 90.16
loop_
_symmetry_equiv_pos_as_xyz
'x,y,z'
loop_
_atom_site_label
_atom_site_fract_x
_atom_site_fract_y
_atom_site_fract_z
Mg1 0.0000 0.0000 0.0000
Mg2 0.0265 0.6849 0.0785
Mg3 0.1748 0.6251 0.4005
Mg4 0.2024 0.0760 0.4404
Mg5 0.6460 0.3106 0.3110
Mg6 0.8614 0.3541 0.7431
Si1 0.0258 0.3540 0.0696
Si2 0.2729 0.4256 0.5627
Si3 0.3802 0.8929 0.7514
Si4 0.4108 0.6525 0.8357
Si5 0.4485 0.2131 0.9059
Si6 0.5860 0.9595 0.1857
Si7 0.6516 0.8042 0.3488
Si8 0.8300 0.9740 0.6419
```

Largest 12 diffraction maxima, by angle, 5 to 70 degrees two-theta:
| index | d (Å) | Rel. int. |
| --- | --- | --- |
| 1 1 -1 | 3.569 | 39 |
| 1 -2 0 | 2.846 | 53 |
| 1 0 2 | 2.548 | 100 |
| 1 0 -3 | 2.492 | 57 |
| 0 2 2 | 2.351 | 42 |
| 1 2 1 | 2.222 | 47 |
| 0 1 -4 | 2.217 | 55 |
| 1 -3 2 | 2.175 | 55 |
| 1 3 -3 | 2.153 | 46 |
| 0 4 -3 | 1.994 | 37 |
| 2 0 -1 | 1.974 | 87 |
| 0 2 -5 | 1.794 | 36 |


Starting from the PBE geometry in the Materials Project, the powder diffraction line list of Mg2Si3 was calculated for Cu Kα.

Structural model:
```
data_Mg2Si3
_chemical_formula_sum 'Mg4 Si6'
_symmetry_space_group_name_H-M 'P -1'
_symmetry_Int_Tables_number 2
_cell_length_a 4.2584
_cell_length_b 5.5385
_cell_length_c 8.4939
_cell_angle_alpha 77.90
_cell_angle_beta 82.46
_cell_angle_gamma 72.27
loop_
_symmetry_equiv_pos_as_xyz
'x,y,z'
'-x,-y,-z'
loop_
_atom_site_label
_atom_site_fract_x
_atom_site_fract_y
_atom_site_fract_z
Mg1 0.1558 0.1812 0.0731
Mg2 0.2278 0.2028 0.6988
Si1 0.0471 0.1552 0.3880
Si2 0.3715 0.6262 0.1092
Si3 0.4685 0.3855 0.3826
```

Largest 12 diffraction maxima, by angle, 5 to 70 degrees two-theta:
| index | d (Å) | Rel. int. |
| --- | --- | --- |
| 1 -1 0 | 2.823 | 100 |
| 1 2 1 | 2.594 | 46 |
| 1 2 0 | 2.539 | 60 |
| 1 2 2 | 2.415 | 38 |
| 0 1 -3 | 2.274 | 25 |
| 1 0 -3 | 2.207 | 31 |
| 2 1 1 | 2.110 | 39 |
| 2 1 0 | 2.098 | 22 |
| 0 2 3 | 2.087 | 25 |
| 0 0 4 | 2.071 | 27 |
| 1 2 -2 | 1.978 | 30 |
| 1 -1 3 | 1.929 | 23 |


Starting from the PBE geometry in the Materials Project, the powder diffraction line list of Mg2Si3 was calculated for Cu Kα.

Structural model:
```
data_Mg2Si3
_chemical_formula_sum 'Mg16 Si24'
_symmetry_space_group_name_H-M 'C 1 m 1'
_symmetry_Int_Tables_number 8
_cell_length_a 10.1584
_cell_length_b 3.8378
_cell_length_c 18.5352
_cell_angle_alpha 90.00
_cell_angle_beta 100.25
_cell_angle_gamma 90.00
loop_
_symmetry_equiv_pos_as_xyz
'x,y,z'
'x,-y,z'
'x+1/2,y+1/2,z'
'x+1/2,-y+1/2,z'
loop_
_atom_site_label
_atom_site_fract_x
_atom_site_fract_y
_atom_site_fract_z
Mg1 0.0000 0.0000 0.0000
Mg2 0.0014 0.5000 0.6439
Mg3 0.0744 0.5000 0.8559
Mg4 0.0870 0.0000 0.3942
Mg5 0.1711 0.5000 0.1461
Mg6 0.2380 0.0000 0.7500
Mg7 0.3300 0.5000 0.5016
Mg8 0.4127 0.0000 0.2515
Si1 0.0481 0.5000 0.4994
Si2 0.1261 0.0000 0.2495
Si3 0.1613 0.0000 0.5773
Si4 0.1987 0.5000 0.0012
Si5 0.2475 0.5000 0.3233
Si6 0.2793 0.0000 0.9250
Si7 0.2901 0.5000 0.6456
Si8 0.3322 0.0000 0.0698
Si9 0.3600 0.5000 0.8579
Si10 0.3709 0.0000 0.3942
Si11 0.4528 0.5000 0.1432
Si12 0.4654 0.5000 0.7525
```

Largest 12 diffraction maxima, by angle, 5 to 70 degrees two-theta:
| index | d (Å) | Rel. int. |
| --- | --- | --- |
| 2 0 -3 | 4.250 | 19 |
| 1 1 -5 | 2.642 | 17 |
| 3 1 -1 | 2.539 | 100 |
| 1 1 -6 | 2.395 | 53 |
| 0 0 8 | 2.280 | 17 |
| 1 1 6 | 2.248 | 48 |
| 3 1 3 | 2.222 | 46 |
| 3 1 -5 | 2.215 | 31 |
| 4 0 -6 | 2.125 | 12 |
| 4 0 -7 | 1.989 | 21 |
| 0 2 0 | 1.919 | 46 |
| 4 2 -7 | 1.381 | 13 |


Starting from the PBE geometry in the Materials Project, the powder diffraction line list of Mg2Si3 was calculated for Cu Kα.

Structural model:
```
data_Mg2Si3
_chemical_formula_sum 'Mg8 Si12'
_symmetry_space_group_name_H-M 'P -1'
_symmetry_Int_Tables_number 2
_cell_length_a 4.5447
_cell_length_b 7.0021
_cell_length_c 11.9045
_cell_angle_alpha 88.62
_cell_angle_beta 79.63
_cell_angle_gamma 88.17
loop_
_symmetry_equiv_pos_as_xyz
'x,y,z'
'-x,-y,-z'
loop_
_atom_site_label
_atom_site_fract_x
_atom_site_fract_y
_atom_site_fract_z
Mg1 0.1907 0.1269 0.4066
Mg2 0.2467 0.8212 0.9930
Mg3 0.2687 0.7046 0.7238
Mg4 0.2999 0.1401 0.7601
Si1 0.2003 0.4527 0.5547
Si2 0.2115 0.4070 0.1075
Si3 0.2165 0.0737 0.1680
Si4 0.2552 0.5494 0.2981
Si5 0.2942 0.4428 0.8976
Si6 0.3675 0.7642 0.4622
```

Largest 12 diffraction maxima, by angle, 5 to 70 degrees two-theta:
| index | d (Å) | Rel. int. |
| --- | --- | --- |
| 0 1 0 | 6.997 | 48 |
| 1 -1 3 | 2.902 | 27 |
| 1 -2 1 | 2.705 | 32 |
| 1 2 2 | 2.655 | 33 |
| 1 -2 2 | 2.559 | 26 |
| 1 1 4 | 2.530 | 87 |
| 1 2 -2 | 2.405 | 19 |
| 2 0 0 | 2.234 | 100 |
| -1 1 4 | 2.159 | 30 |
| 1 3 0 | 2.092 | 24 |
| 1 -3 0 | 2.044 | 24 |
| 1 -3 3 | 1.863 | 19 |


Starting from the PBE geometry in the Materials Project, the powder diffraction line list of Mg14SiSn was calculated for Cu Kα.

Structural model:
```
data_Mg14SiSn
_chemical_formula_sum 'Mg28 Si2 Sn2'
_symmetry_space_group_name_H-M 'A m m 2'
_symmetry_Int_Tables_number 38
_cell_length_a 10.1686
_cell_length_b 6.5955
_cell_length_c 10.6525
_cell_angle_alpha 90.00
_cell_angle_beta 90.00
_cell_angle_gamma 90.00
loop_
_symmetry_equiv_pos_as_xyz
'x,y,z'
'-x,-y,z'
'-x,y,z'
'x,-y,z'
'x,y+1/2,z+1/2'
'-x,-y+1/2,z+1/2'
'-x,y+1/2,z+1/2'
'x,-y+1/2,z+1/2'
loop_
_atom_site_label
_atom_site_fract_x
_atom_site_fract_y
_atom_site_fract_z
Mg1 0.0000 0.0000 0.0000
Mg2 0.0000 0.0000 0.4996
Mg3 0.0000 0.2492 0.2512
Mg4 0.2487 0.0000 0.6687
Mg5 0.2546 0.0000 0.1659
Mg6 0.2556 0.2453 0.9209
Mg7 0.5000 0.2493 0.7496
Si1 0.5000 0.0000 0.0039
Sn1 0.5000 0.0000 0.5027
```

Largest 12 diffraction maxima, by angle, 5 to 70 degrees two-theta:
| index | d (Å) | Rel. int. |
| --- | --- | --- |
| 1 0 0 | 10.169 | 37 |
| 0 1 1 | 5.608 | 14 |
| 1 1 1 | 4.910 | 23 |
| 0 2 2 | 2.804 | 26 |
| 0 0 4 | 2.663 | 17 |
| 4 0 0 | 2.542 | 36 |
| 2 2 2 | 2.455 | 100 |
| 2 0 4 | 2.359 | 46 |
| 4 2 2 | 1.883 | 18 |
| 0 2 6 | 1.563 | 16 |
| 6 2 2 | 1.450 | 18 |
| 2 4 4 | 1.351 | 14 |


Starting from the PBE geometry in the Materials Project, the powder diffraction line list of Mg14SiSn was calculated for Cu Kα.

Structural model:
```
data_Mg14SiSn
_chemical_formula_sum 'Mg14 Si1 Sn1'
_symmetry_space_group_name_H-M 'P -6 m 2'
_symmetry_Int_Tables_number 187
_symmetry_space_group_name_Hall 'P -6 2'
_cell_length_a 6.3070
_cell_length_b 6.3070
_cell_length_c 10.2420
_cell_angle_alpha 90.00
_cell_angle_beta 90.00
_cell_angle_gamma 120.00
loop_
_atom_site_label
_atom_site_fract_x
_atom_site_fract_y
_atom_site_fract_z
Mg1 0.0000 0.0000 0.2497
Mg2 0.3314 0.1657 0.0000
Mg3 0.3335 0.1668 0.5000
Mg4 0.5004 0.0007 0.2439
Si1 0.3333 0.6667 0.0000
Sn1 0.3333 0.6667 0.5000
```

Largest 12 diffraction maxima, by angle, 5 to 70 degrees two-theta:
| index | d (Å) | Rel. int. |
| --- | --- | --- |
| 0 0 1 | 10.242 | 17 |
| 1 0 0 | 5.462 | 19 |
| 1 0 1 | 4.820 | 23 |
| 1 0 2 | 3.736 | 16 |
| 1 1 1 | 3.014 | 8 |
| 2 0 0 | 2.731 | 26 |
| 0 0 4 | 2.561 | 26 |
| 2 0 2 | 2.410 | 100 |
| 1 0 4 | 2.318 | 8 |
| 2 0 4 | 1.868 | 17 |
| 2 2 0 | 1.577 | 17 |
| 2 0 6 | 1.448 | 19 |


Starting from the PBE geometry in the Materials Project, the powder diffraction line list of SrMgSi was calculated for Cu Kα.

Structural model:
```
data_SrMgSi
_chemical_formula_sum 'Sr4 Mg4 Si4'
_symmetry_space_group_name_H-M 'P n m a'
_symmetry_Int_Tables_number 62
_cell_length_a 7.8228
_cell_length_b 4.5963
_cell_length_c 8.5306
_cell_angle_alpha 90.00
_cell_angle_beta 90.00
_cell_angle_gamma 90.00
loop_
_symmetry_equiv_pos_as_xyz
'x,y,z'
'-x,-y,-z'
'-x+1/2,-y,z+1/2'
'x+1/2,y,-z+1/2'
'x+1/2,-y+1/2,-z+1/2'
'-x+1/2,y+1/2,z+1/2'
'-x,y+1/2,-z'
'x,-y+1/2,z'
loop_
_atom_site_label
_atom_site_fract_x
_atom_site_fract_y
_atom_site_fract_z
Sr1 0.0150 0.2500 0.1835
Mg1 0.1431 0.2500 0.5637
Si1 0.2187 0.7500 0.3905
```

Largest 12 diffraction maxima, by angle, 5 to 70 degrees two-theta:
| index | d (Å) | Rel. int. |
| --- | --- | --- |
| 0 1 1 | 4.046 | 34 |
| 2 0 0 | 3.911 | 17 |
| 1 1 2 | 2.903 | 76 |
| 2 0 2 | 2.883 | 25 |
| 2 1 1 | 2.812 | 100 |
| 1 0 3 | 2.672 | 34 |
| 3 0 1 | 2.494 | 17 |
| 0 1 3 | 2.418 | 20 |
| 0 2 0 | 2.298 | 30 |
| 1 2 3 | 1.742 | 18 |
| 3 1 4 | 1.554 | 21 |
| 2 3 1 | 1.407 | 17 |


Starting from the PBE geometry in the Materials Project, the powder diffraction line list of Sr11Mg2Si10 was calculated for Cu Kα.

Structural model:
```
data_Sr11Mg2Si10
_chemical_formula_sum 'Sr22 Mg4 Si20'
_symmetry_space_group_name_H-M 'C 1 2/m 1'
_symmetry_Int_Tables_number 12
_cell_length_a 19.7382
_cell_length_b 4.7611
_cell_length_c 14.9026
_cell_angle_alpha 90.00
_cell_angle_beta 112.19
_cell_angle_gamma 90.00
loop_
_symmetry_equiv_pos_as_xyz
'x,y,z'
'-x,-y,-z'
'-x,y,-z'
'x,-y,z'
'x+1/2,y+1/2,z'
'-x+1/2,-y+1/2,-z'
'-x+1/2,y+1/2,-z'
'x+1/2,-y+1/2,z'
loop_
_atom_site_label
_atom_site_fract_x
_atom_site_fract_y
_atom_site_fract_z
Sr1 0.0000 0.0000 0.0000
Sr2 0.0171 0.5000 0.8038
Sr3 0.0714 0.0000 0.4415
Sr4 0.1438 0.0000 0.7173
Sr5 0.1574 0.5000 0.1043
Sr6 0.2064 0.5000 0.3782
Mg1 0.2195 0.5000 0.9173
Si1 0.0456 0.5000 0.5840
Si2 0.1114 0.0000 0.2365
Si3 0.1426 0.0000 0.9302
Si4 0.1691 0.5000 0.5793
Si5 0.2401 0.0000 0.2533
```

Largest 12 diffraction maxima, by angle, 5 to 70 degrees two-theta:
| index | d (Å) | Rel. int. |
| --- | --- | --- |
| 1 1 -1 | 4.501 | 12 |
| 2 0 3 | 3.599 | 15 |
| 3 1 -3 | 3.308 | 13 |
| 5 1 -1 | 3.026 | 39 |
| 3 1 2 | 3.015 | 53 |
| 4 0 -5 | 2.897 | 100 |
| 1 1 4 | 2.643 | 32 |
| 7 1 -3 | 2.389 | 14 |
| 0 2 0 | 2.381 | 36 |
| 4 2 -5 | 1.838 | 20 |
| 11 1 -2 | 1.663 | 13 |
| 8 2 1 | 1.586 | 12 |